1.
Diffraction record for Na4Al3Si3CNO13. The X-ray diffraction stick pattern is simulated, not measured: it uses a GGA-PBE-relaxed structure and Cu Kα (weighted mean of Kα1 and Kα2).
Peak positions follow from Bragg's law for the DFT cell and can differ from measured ones.

Peak list (10 most intense, 2θ from 15° to 90°, most intense first)
2θ/deg	d/Å	intensity
24.20	3.678	100
34.29	2.615	42
23.79	3.741	30
42.75	2.115	26
30.60	2.921	13
41.49	2.176	10
50.90	1.794	8
59.65	1.550	8
42.08	2.147	7
57.20	1.611	6

Atomic structure:
```
Na4Al3Si3CNO13
1.0
6.3329 -6.3376 0.0000
6.3329 6.3376 0.0000
0.0000 0.0000 9.2702
Na Al Si C N O
8 6 6 2 2 26
Direct
0.1852 0.6848 0.0000
0.1913 0.3092 0.5961
0.3092 0.1913 0.0961
0.3152 0.8148 0.5000
0.6848 0.1852 0.5000
0.6908 0.8087 0.0961
0.8087 0.6908 0.5961
0.8148 0.3152 0.0000
0.0000 0.0000 0.0514
0.0000 0.0000 0.5514
0.2521 0.5010 0.3008
0.4990 0.7479 0.8008
0.5010 0.2521 0.8008
0.7479 0.4990 0.3008
0.0007 0.7523 0.3011
0.2477 0.9993 0.8011
0.5000 0.5000 0.0511
0.5000 0.5000 0.5511
0.7523 0.0007 0.8011
0.9993 0.2477 0.3011
0.0000 0.5000 0.7911
0.5000 0.0000 0.2911
0.0000 0.5000 0.9206
0.5000 0.0000 0.4206
0.0000 0.5000 0.6586
0.0554 0.8507 0.4411
0.0566 0.1487 0.1623
0.1424 0.3479 0.3531
0.1457 0.6561 0.2479
0.1487 0.0566 0.6623
0.1493 0.9446 0.9411
0.3439 0.8543 0.7479
0.3479 0.1424 0.8531
0.3595 0.4441 0.1509
0.3591 0.5555 0.4518
0.4441 0.3595 0.6509
0.4445 0.6409 0.9518
0.5000 0.0000 0.1586
0.5555 0.3591 0.9518
0.5559 0.6405 0.6509
0.6409 0.4445 0.4518
0.6405 0.5559 0.1509
0.6521 0.8576 0.8531
0.6561 0.1457 0.7479
0.8507 0.0554 0.9411
0.8513 0.9434 0.6623
0.8543 0.3439 0.2479
0.8576 0.6521 0.3531
0.9434 0.8513 0.1623
0.9446 0.1493 0.4411
```

---

2.
Diffraction record for Ag17Sb2. The X-ray diffraction stick pattern is simulated, not measured: it uses a GGA-PBE-relaxed structure and Cu Kα (weighted mean of Kα1 and Kα2).
Peak positions follow from Bragg's law for the DFT cell and can differ from measured ones.

Peak list (10 most intense, 2θ from 15° to 90°, most intense first)
2θ/deg	d/Å	intensity
37.62	2.391	100
42.26	2.138	54
67.90	1.380	22
32.42	2.761	18
33.05	2.711	16
38.17	2.358	15
80.31	1.195	14
61.30	1.512	9
83.32	1.160	7
54.26	1.690	6

Atomic structure:
```
Ag17Sb2
1.0
4.7825 2.7612 4.7797
-4.7825 2.7612 4.7797
0.0000 -5.5224 4.7797
Ag Sb
17 2
Direct
0.0000 0.0000 0.5000
0.0000 0.3039 0.6961
0.0000 0.5000 0.0000
0.0000 0.6961 0.3039
0.1002 0.1002 0.1002
0.1557 0.6496 0.6496
0.3039 0.0000 0.6961
0.3039 0.6961 0.0000
0.3504 0.3504 0.8443
0.3504 0.8443 0.3504
0.5000 0.0000 0.0000
0.6496 0.1557 0.6496
0.6496 0.6496 0.1557
0.6961 0.0000 0.3039
0.6961 0.3039 0.0000
0.8443 0.3504 0.3504
0.8998 0.8998 0.8998
0.3570 0.3570 0.3570
0.6430 0.6430 0.6430
```

---

3.
Diffraction record for Ac2Ge5Os. The X-ray diffraction stick pattern is simulated, not measured: it uses a GGA-PBE-relaxed structure and Cu Kα (weighted mean of Kα1 and Kα2).
Peak positions follow from Bragg's law for the DFT cell and can differ from measured ones.

Peak list (10 most intense, 2θ from 15° to 90°, most intense first)
2θ/deg	d/Å	intensity
27.28	3.269	100
34.07	2.632	74
40.67	2.219	53
49.66	1.836	34
56.29	1.634	31
37.20	2.417	28
28.45	3.137	27
16.84	5.264	25
33.24	2.695	24
42.59	2.123	18

Atomic structure:
```
Ac2Ge5Os
1.0
-3.1374 3.1374 4.8343
3.1374 -3.1374 4.8343
3.1374 3.1374 -4.8343
Ac Ge Os
2 5 1
Direct
0.0000 0.5000 0.5000
0.5000 0.0000 0.5000
0.0381 0.0381 0.5658
0.0381 0.4724 0.0000
0.0515 0.0515 0.0000
0.4724 0.0381 0.0000
0.4724 0.4724 0.4342
0.7984 0.7984 0.0000
```

---

4.
Diffraction record for LaAlZn2Ir. The X-ray diffraction stick pattern is simulated, not measured: it uses a GGA-PBE-relaxed structure and Cu Kα (weighted mean of Kα1 and Kα2).
Peak positions follow from Bragg's law for the DFT cell and can differ from measured ones.

Peak list (10 most intense, 2θ from 15° to 90°, most intense first)
2θ/deg	d/Å	intensity
34.35	2.611	100
30.42	2.938	68
31.57	2.834	63
32.31	2.771	51
15.57	5.690	42
45.16	2.008	41
42.42	2.131	38
45.71	1.985	35
44.68	2.028	33
65.41	1.427	27

Atomic structure:
```
LaAlZn2Ir
1.0
-2.0281 2.1310 5.6902
2.0281 -2.1310 5.6902
2.0281 2.1310 -5.6902
La Al Zn Ir
1 1 2 1
Direct
0.0000 0.0000 0.0000
0.2603 0.7603 0.5000
0.6164 0.6164 0.0000
0.7581 0.2581 0.5000
0.3914 0.3914 0.0000
```

---

5.
Diffraction record for Pu3Ga2HRh3. The X-ray diffraction stick pattern is simulated, not measured: it uses a GGA-PBE-relaxed structure and Cu Kα (weighted mean of Kα1 and Kα2).
Peak positions follow from Bragg's law for the DFT cell and can differ from measured ones.

Peak list (10 most intense, 2θ from 15° to 90°, most intense first)
2θ/deg	d/Å	intensity
34.24	2.619	100
26.56	3.356	29
46.88	1.938	23
78.83	1.214	17
65.65	1.422	17
43.22	2.093	15
59.33	1.558	13
73.49	1.289	11
51.45	1.776	10
46.69	1.946	10

Atomic structure:
```
Pu3Ga2HRh3
1.0
6.7130 0.0000 0.0000
-3.3565 5.8136 0.0000
0.0000 0.0000 4.1867
Pu Ga H Rh
3 2 1 3
Direct
0.0000 0.3274 0.0000
0.3274 0.0000 0.0000
0.6726 0.6726 0.0000
0.3333 0.6667 0.5000
0.6667 0.3333 0.5000
0.0000 0.0000 0.0000
0.0000 0.7538 0.5000
0.2462 0.2462 0.5000
0.7538 0.0000 0.5000
```

---

6.
Diffraction record for Ho5ThSc3. The X-ray diffraction stick pattern is simulated, not measured: it uses a GGA-PBE-relaxed structure and Cu Kα (weighted mean of Kα1 and Kα2).
Peak positions follow from Bragg's law for the DFT cell and can differ from measured ones.

Peak list (10 most intense, 2θ from 15° to 90°, most intense first)
2θ/deg	d/Å	intensity
31.87	2.808	100
22.48	3.956	100
33.20	2.698	99
30.25	2.955	67
35.99	2.496	62
33.47	2.677	56
29.40	3.038	52
40.66	2.219	48
29.08	3.071	45
40.40	2.232	35

Atomic structure:
```
Ho5ThSc3
1.0
7.3079 -5.6167 0.0000
7.3079 5.6167 0.0000
-6.1934 0.0000 7.2970
Ho Th Sc
10 2 6
Direct
0.1182 0.6227 0.2518
0.2312 0.2312 0.2366
0.2444 0.7556 0.0000
0.2474 0.2474 0.5919
0.3773 0.8818 0.7482
0.6227 0.1182 0.2518
0.7526 0.7526 0.4081
0.7556 0.2444 0.0000
0.7688 0.7688 0.7634
0.8818 0.3773 0.7482
0.2786 0.2786 0.9546
0.7214 0.7214 0.0454
0.0000 0.0000 0.5000
0.0076 0.0076 0.8249
0.4853 0.4853 0.6449
0.5000 0.5000 0.0000
0.5147 0.5147 0.3551
0.9924 0.9924 0.1751
```

---

7.
Diffraction record for NdDy4Te2. The X-ray diffraction stick pattern is simulated, not measured: it uses a GGA-PBE-relaxed structure and Cu Kα (weighted mean of Kα1 and Kα2).
Peak positions follow from Bragg's law for the DFT cell and can differ from measured ones.

Peak list (10 most intense, 2θ from 15° to 90°, most intense first)
2θ/deg	d/Å	intensity
32.85	2.726	100
32.72	2.737	74
58.60	1.575	47
47.05	1.931	27
45.04	2.013	25
29.96	2.982	19
61.95	1.498	15
81.35	1.183	12
78.37	1.220	12
68.88	1.363	12

Atomic structure:
```
NdDy4Te2
1.0
2.7263 1.5740 8.9547
-2.7263 1.5740 8.9547
0.0000 -3.1481 8.9547
Nd Dy Te
1 4 2
Direct
0.0000 0.0000 0.0000
0.2338 0.2338 0.2338
0.3662 0.3662 0.3662
0.6338 0.6338 0.6338
0.7662 0.7662 0.7662
0.1178 0.1178 0.1178
0.8822 0.8822 0.8822
```

---

8.
Diffraction record for Li3CuAu. The X-ray diffraction stick pattern is simulated, not measured: it uses a GGA-PBE-relaxed structure and Cu Kα (weighted mean of Kα1 and Kα2).
Peak positions follow from Bragg's law for the DFT cell and can differ from measured ones.

Peak list (10 most intense, 2θ from 15° to 90°, most intense first)
2θ/deg	d/Å	intensity
23.10	3.851	100
43.48	2.081	42
24.15	3.685	41
29.39	3.039	30
44.09	2.054	23
41.86	2.158	22
17.93	4.948	22
36.31	2.474	18
30.24	2.955	17
39.93	2.258	15

Atomic structure:
```
Li3CuAu
1.0
4.5162 0.0000 0.0000
0.0000 9.8965 0.0000
0.0000 0.0000 7.3694
Li Cu Au
12 4 4
Direct
0.0010 0.0896 0.1531
0.0010 0.4104 0.1531
0.0102 0.2500 0.8381
0.4898 0.7500 0.3381
0.4990 0.5896 0.6531
0.4990 0.9104 0.6531
0.5010 0.0896 0.3469
0.5010 0.4104 0.3469
0.5102 0.2500 0.6619
0.9898 0.7500 0.1619
0.9990 0.5896 0.8469
0.9990 0.9104 0.8469
0.0063 0.2500 0.4413
0.4937 0.7500 0.9413
0.5063 0.2500 0.0587
0.9937 0.7500 0.5587
0.0000 0.0000 0.5000
0.0000 0.5000 0.5000
0.5000 0.0000 0.0000
0.5000 0.5000 0.0000
```

---

9.
Diffraction record for Er8As3Se4. The X-ray diffraction stick pattern is simulated, not measured: it uses a GGA-PBE-relaxed structure and Cu Kα (weighted mean of Kα1 and Kα2).
Peak positions follow from Bragg's law for the DFT cell and can differ from measured ones.

Peak list (10 most intense, 2θ from 15° to 90°, most intense first)
2θ/deg	d/Å	intensity
31.40	2.849	100
44.99	2.015	55
45.10	2.010	55
31.49	2.841	49
27.13	3.286	48
74.55	1.273	25
56.03	1.641	19
55.90	1.645	19
83.12	1.162	19
74.41	1.275	12

Atomic structure:
```
Er8As3Se4
1.0
5.6811 -5.6935 0.0000
5.6811 5.6935 0.0000
-5.6628 0.0000 5.7018
Er As Se
8 3 4
Direct
0.2417 0.2417 0.4943
0.2457 0.2457 0.9979
0.2460 0.7540 0.0000
0.2471 0.7529 0.5000
0.7529 0.2471 0.5000
0.7540 0.2460 0.0000
0.7543 0.7543 0.0021
0.7583 0.7583 0.5057
0.0000 0.0000 0.0000
0.0000 0.5000 0.5000
0.5000 0.0000 0.5000
0.0000 0.5000 0.0000
0.5000 0.0000 0.0000
0.5000 0.5000 0.0000
0.5000 0.5000 0.5000
```

---

10.
Diffraction record for AcIn6Hg2. The X-ray diffraction stick pattern is simulated, not measured: it uses a GGA-PBE-relaxed structure and Cu Kα (weighted mean of Kα1 and Kα2).
Peak positions follow from Bragg's law for the DFT cell and can differ from measured ones.

Peak list (10 most intense, 2θ from 15° to 90°, most intense first)
2θ/deg	d/Å	intensity
31.32	2.856	100
38.92	2.314	60
36.34	2.472	32
29.97	2.982	32
35.82	2.507	27
65.78	1.420	25
28.32	3.151	23
54.30	1.689	21
56.22	1.636	21
49.88	1.828	16

Atomic structure:
```
AcIn6Hg2
1.0
4.6280 0.0000 0.0000
0.0000 4.6280 0.0000
0.0000 0.0000 11.6979
Ac In Hg
1 6 2
Direct
0.0000 0.0000 0.0000
0.0000 0.0000 0.5000
0.0000 0.5000 0.2850
0.0000 0.5000 0.7150
0.5000 0.0000 0.2850
0.5000 0.0000 0.7150
0.5000 0.5000 0.5000
0.5000 0.5000 0.1210
0.5000 0.5000 0.8790
```

---

11.
Diffraction record for LaMg14Sb. The X-ray diffraction stick pattern is simulated, not measured: it uses a GGA-PBE-relaxed structure and Cu Kα (weighted mean of Kα1 and Kα2).
Peak positions follow from Bragg's law for the DFT cell and can differ from measured ones.

Peak list (10 most intense, 2θ from 15° to 90°, most intense first)
2θ/deg	d/Å	intensity
36.31	2.474	100
35.64	2.519	53
17.60	5.038	42
33.77	2.654	39
32.01	2.796	31
15.48	5.724	28
16.70	5.308	25
22.85	3.892	25
47.22	1.925	20
67.11	1.395	20

Atomic structure:
```
LaMg14Sb
1.0
10.6169 0.0000 0.0000
0.0000 3.2045 5.7237
0.0000 -3.2045 5.7237
La Mg Sb
1 14 1
Direct
0.0000 0.0000 0.0000
0.0000 0.0101 0.4945
0.0000 0.4945 0.0101
0.2411 0.6676 0.6676
0.2579 0.1675 0.1675
0.2614 0.1638 0.6636
0.2614 0.6636 0.1638
0.5000 0.0021 0.0021
0.5000 0.5029 0.9968
0.5000 0.5045 0.5045
0.5000 0.9968 0.5029
0.7386 0.1638 0.6636
0.7386 0.6636 0.1638
0.7421 0.1675 0.1675
0.7589 0.6676 0.6676
0.0000 0.4958 0.4958
```

---

12.
Diffraction record for Er3Th3MnTl2. The X-ray diffraction stick pattern is simulated, not measured: it uses a GGA-PBE-relaxed structure and Cu Kα (weighted mean of Kα1 and Kα2).
Peak positions follow from Bragg's law for the DFT cell and can differ from measured ones.

Peak list (10 most intense, 2θ from 15° to 90°, most intense first)
2θ/deg	d/Å	intensity
31.38	2.851	100
58.68	1.573	33
33.59	2.668	32
39.63	2.274	24
61.46	1.509	21
35.74	2.512	18
48.17	1.889	10
89.02	1.100	9
49.86	1.829	8
23.55	3.777	7

Atomic structure:
```
Er3Th3MnTl2
1.0
8.7018 0.0000 0.0000
-4.3509 7.5360 0.0000
0.0000 0.0000 3.7783
Er Th Mn Tl
3 3 1 2
Direct
0.0000 0.3977 0.0000
0.3977 0.0000 0.0000
0.6023 0.6023 0.0000
0.0000 0.7639 0.5000
0.2361 0.2361 0.5000
0.7639 0.0000 0.5000
0.0000 0.0000 0.0000
0.3333 0.6667 0.5000
0.6667 0.3333 0.5000
```